1.
This entry pairs a crystal structure of Li4Cr3CoO8 with its simulated powder diffractogram. Radiation: Cu Kα (weighted mean of Kα1 and Kα2). Structure: a structure optimized by DFT (PBE+U).
Intensities are scaled so that the largest is 100.

Structure:
```
Li4Cr3CoO8
1.0
5.111 0.000 0.000
0.000 5.914 0.000
-1.685 0.000 4.830
Li Cr Co O
4 3 1 8
direct
0.000 0.000 0.000
0.000 0.500 0.000
0.500 0.246 0.000
0.500 0.754 0.000
0.000 0.250 0.500
0.000 0.750 0.500
0.500 0.500 0.500
0.500 0.000 0.500
0.241 0.500 0.726
0.244 0.000 0.725
0.257 0.250 0.273
0.257 0.750 0.273
0.743 0.250 0.727
0.743 0.750 0.727
0.756 0.000 0.275
0.759 0.500 0.274
```

Principal peaks in the range 2θ = 10–90°, most intense first:
two_theta, intensity
18.37, 100
43.24, 54
62.94, 29
35.61, 28
43.42, 27
37.26, 16
62.81, 15
35.70, 14
57.18, 11
66.11, 9

2.
This entry pairs a crystal structure of Li3CrCo3O8 with its simulated powder diffractogram. Radiation: Cu Kα (weighted mean of Kα1 and Kα2). Structure: a structure optimized by DFT (PBE+U).
Intensities are scaled so that the largest is 100.

Structure:
```
Li3CrCo3O8
1.0
5.847 0.000 0.000
2.915 5.118 0.000
2.877 1.649 9.827
Li Cr Co O
6 2 6 16
direct
0.246 0.248 0.250
0.248 0.254 0.750
0.250 0.747 0.751
0.750 0.253 0.249
0.752 0.746 0.250
0.754 0.752 0.750
0.000 0.500 0.000
0.500 0.000 0.500
0.000 0.000 0.000
0.000 0.000 0.500
0.000 0.500 0.500
0.500 0.000 0.000
0.500 0.500 0.000
0.500 0.500 0.500
0.114 0.140 0.107
0.125 0.626 0.616
0.134 0.612 0.109
0.152 0.121 0.608
0.345 0.380 0.891
0.370 0.867 0.394
0.374 0.350 0.392
0.381 0.875 0.887
0.619 0.125 0.113
0.626 0.650 0.608
0.630 0.133 0.606
0.655 0.620 0.109
0.848 0.879 0.392
0.866 0.388 0.891
0.875 0.374 0.384
0.886 0.860 0.893
```

Principal peaks in the range 2θ = 10–90°, most intense first:
two_theta, intensity
18.05, 100
42.91, 22
43.23, 22
43.44, 22
35.58, 13
35.96, 12
35.86, 12
62.27, 12
47.14, 8
37.44, 8

3.
This entry pairs a crystal structure of Li2CrCo3O8 with its simulated powder diffractogram. Radiation: Cu Kα (weighted mean of Kα1 and Kα2). Structure: a structure optimized by DFT (PBE+U).
Intensities are scaled so that the largest is 100.

Structure:
```
Li2CrCo3O8
1.0
5.753 -5.739 0.000
5.753 5.739 0.000
-0.016 0.000 8.143
Li Cr Co O
8 4 12 32
direct
0.123 0.123 0.376
0.127 0.624 0.878
0.376 0.373 0.625
0.376 0.873 0.122
0.627 0.624 0.375
0.628 0.121 0.875
0.877 0.877 0.624
0.879 0.372 0.125
0.003 0.997 0.000
0.248 0.752 0.500
0.502 0.248 0.253
0.752 0.498 0.747
0.000 0.746 0.249
0.004 0.499 0.499
0.005 0.249 0.747
0.251 0.499 0.249
0.253 0.250 0.997
0.254 0.000 0.751
0.500 0.500 0.000
0.501 0.749 0.751
0.501 0.996 0.501
0.750 0.747 0.003
0.751 0.995 0.253
0.753 0.247 0.500
0.015 0.017 0.756
0.016 0.737 0.487
0.017 0.512 0.266
0.022 0.247 0.980
0.237 0.734 0.259
0.240 0.236 0.764
0.242 0.513 0.484
0.245 0.015 0.985
0.263 0.984 0.513
0.266 0.260 0.232
0.266 0.763 0.741
0.267 0.483 0.012
0.486 0.266 0.008
0.487 0.758 0.516
0.488 0.983 0.734
0.493 0.487 0.231
0.513 0.507 0.769
0.517 0.235 0.491
0.517 0.733 0.988
0.518 0.009 0.261
0.734 0.514 0.992
0.738 0.011 0.483
0.739 0.233 0.266
0.740 0.734 0.768
0.753 0.978 0.020
0.764 0.760 0.236
0.765 0.483 0.509
0.767 0.261 0.734
0.983 0.985 0.244
0.985 0.755 0.015
0.989 0.262 0.517
0.991 0.482 0.739
```

Principal peaks in the range 2θ = 10–90°, most intense first:
two_theta, intensity
18.90, 100
44.57, 52
36.63, 31
64.83, 26
36.69, 15
59.06, 13
68.24, 7
48.78, 7
58.94, 6
38.31, 6

4.
This entry pairs a crystal structure of Li2CrCo3O8 with its simulated powder diffractogram. Radiation: Cu Kα (weighted mean of Kα1 and Kα2). Structure: a structure optimized by DFT (PBE+U).
Intensities are scaled so that the largest is 100.

Structure:
```
Li2CrCo3O8
1.0
2.842 -4.940 0.000
2.842 4.940 0.000
-0.061 0.000 9.317
Li Cr Co O
4 2 6 16
direct
0.000 0.000 0.000
0.000 0.000 0.500
0.333 0.664 0.393
0.664 0.333 0.893
0.337 0.672 0.987
0.672 0.337 0.487
0.167 0.336 0.714
0.167 0.831 0.714
0.336 0.167 0.214
0.660 0.830 0.716
0.830 0.660 0.216
0.831 0.167 0.214
0.001 0.001 0.312
0.001 0.001 0.812
0.039 0.520 0.834
0.162 0.325 0.110
0.168 0.844 0.108
0.325 0.162 0.610
0.332 0.666 0.610
0.477 0.516 0.836
0.477 0.962 0.835
0.516 0.477 0.336
0.520 0.039 0.334
0.666 0.332 0.110
0.677 0.845 0.108
0.844 0.168 0.608
0.845 0.677 0.608
0.962 0.477 0.335
```

Principal peaks in the range 2θ = 10–90°, most intense first:
two_theta, intensity
20.37, 100
19.05, 88
46.98, 45
37.70, 39
36.93, 28
65.51, 27
41.37, 26
34.07, 23
26.27, 21
47.23, 20